1.
# Y2Pt7
Calculated powder diffractogram, Cu Kα (λ = 1.5418 Å). Input: a crystal structure in Alexandria, relaxed with PBE.

Top 8 peaks for 5° ≤ 2θ ≤ 70°, low angle first:
hkl 1 0 1, 2θ = 19.10°, I = 51; hkl 0 2 1, 2θ = 38.55°, I = 23; hkl 1 1 9, 2θ = 39.05°, I = 100; hkl 0 0 18, 2θ = 40.72°, I = 34; hkl 2 0 8, 2θ = 42.69°, I = 49; hkl 0 2 10, 2θ = 44.92°, I = 27; hkl 0 3 9, 2θ = 63.20°, I = 25; hkl 2 2 0, 2θ = 69.60°, I = 27

```
data_Y2Pt7
_symmetry_space_group_name_H-M 'R -3 m'
_symmetry_Int_Tables_number 166
_symmetry_space_group_name_Hall '-R 3 2"'
_cell_length_a 5.4029
_cell_length_b 5.4029
_cell_length_c 39.8877
_cell_angle_alpha 90.00
_cell_angle_beta 90.00
_cell_angle_gamma 120.00
loop_
_atom_site_label
_atom_site_type_symbol
_atom_site_fract_x
_atom_site_fract_y
_atom_site_fract_z
Y1 Y 0.0000 0.0000 0.0484
Y2 Y 0.0000 0.0000 0.1472
Pt1 Pt 0.0000 0.0000 0.2773
Pt2 Pt 0.0000 0.0000 0.3893
Pt3 Pt 0.0000 0.0000 0.5000
Pt4 Pt 0.0000 0.5000 0.0000
Pt5 Pt 0.0043 0.5022 0.8878
```

2.
# Pr5Ho5Er2
Calculated powder diffractogram, Cu Kα (λ = 1.5418 Å). Input: a crystal structure in Alexandria, relaxed with PBE.

Top 7 peaks for 5° ≤ 2θ ≤ 70°, low angle first:
hkl 3 1 1, 2θ = 30.41°, I = 100; hkl 6 0 -2, 2θ = 35.17°, I = 17; hkl 0 2 0, 2θ = 35.30°, I = 34; hkl 0 2 4, 2θ = 50.72°, I = 36; hkl 9 1 -1, 2θ = 60.18°, I = 14; hkl 3 3 1, 2θ = 60.35°, I = 29; hkl 6 2 2, 2θ = 63.27°, I = 12

```
data_Pr5Ho5Er2
_symmetry_space_group_name_H-M 'C 1 2/m 1'
_symmetry_Int_Tables_number 12
_cell_length_a 15.3096
_cell_length_b 5.0856
_cell_length_c 11.3785
_cell_angle_alpha 90.00
_cell_angle_beta 116.64
_cell_angle_gamma 90.00
loop_
_symmetry_equiv_pos_as_xyz
'x,y,z'
'-x,-y,-z'
'-x,y,-z'
'x,-y,z'
'x+1/2,y+1/2,z'
'-x+1/2,-y+1/2,-z'
'-x+1/2,y+1/2,-z'
'x+1/2,-y+1/2,z'
loop_
_atom_site_label
_atom_site_type_symbol
_atom_site_fract_x
_atom_site_fract_y
_atom_site_fract_z
Pr1 Pr 0.0000 0.0000 0.0000
Pr2 Pr 0.0816 0.0000 0.7478
Pr3 Pr 0.2491 0.0000 0.2516
Ho1 Ho 0.0000 0.5000 0.5000
Ho2 Ho 0.0848 0.5000 0.2535
Ho3 Ho 0.1671 0.5000 0.9999
Er1 Er 0.1669 0.0000 0.4991
```

3.
# Pr7NdAl4
Calculated powder diffractogram, Cu Kα (λ = 1.5418 Å). Input: a crystal structure in Alexandria, relaxed with PBE.

Top 8 peaks for 5° ≤ 2θ ≤ 70°, low angle first:
hkl 1 1 -2, 2θ = 22.83°, I = 51; hkl 4 0 -1, 2θ = 26.08°, I = 54; hkl 4 0 -3, 2θ = 28.17°, I = 52; hkl 1 1 2, 2θ = 29.45°, I = 67; hkl 3 1 -3, 2θ = 29.80°, I = 58; hkl 0 2 0, 2θ = 31.13°, I = 100; hkl 5 1 -1, 2θ = 37.12°, I = 39; hkl 4 2 -3, 2θ = 42.47°, I = 34

```
data_Pr7NdAl4
_symmetry_space_group_name_H-M 'C 1 2/m 1'
_symmetry_Int_Tables_number 12
_cell_length_a 14.2106
_cell_length_b 5.7484
_cell_length_c 10.8452
_cell_angle_alpha 90.00
_cell_angle_beta 124.26
_cell_angle_gamma 90.00
loop_
_symmetry_equiv_pos_as_xyz
'x,y,z'
'-x,-y,-z'
'-x,y,-z'
'x,-y,z'
'x+1/2,y+1/2,z'
'-x+1/2,-y+1/2,-z'
'-x+1/2,y+1/2,-z'
'x+1/2,-y+1/2,z'
loop_
_atom_site_label
_atom_site_type_symbol
_atom_site_fract_x
_atom_site_fract_y
_atom_site_fract_z
Pr1 Pr 0.0000 0.0000 0.0000
Pr2 Pr 0.0660 0.5000 0.3876
Pr3 Pr 0.2035 0.0000 0.6446
Pr4 Pr 0.2056 0.5000 0.8793
Nd1 Nd 0.0000 0.5000 0.0000
Al1 Al 0.0506 0.0000 0.7583
Al2 Al 0.1751 0.0000 0.3309
```

4.
# K7Rb12O
Calculated powder diffractogram, Cu Kα (λ = 1.5418 Å). Input: a crystal structure in Alexandria, relaxed with PBE.

Top 8 peaks for 5° ≤ 2θ ≤ 70°, low angle first:
hkl 2 0 2, 2θ = 18.34°, I = 44; hkl 4 0 1, 2θ = 20.01°, I = 37; hkl 3 2 1, 2θ = 21.60°, I = 100; hkl 0 0 3, 2θ = 23.81°, I = 31; hkl 0 5 1, 2θ = 24.40°, I = 49; hkl 5 -3 2, 2θ = 25.66°, I = 54; hkl 0 8 1, 2θ = 38.21°, I = 22; hkl 0 5 4, 2θ = 39.76°, I = 23

```
data_K7Rb12O
_symmetry_space_group_name_H-M 'R -3'
_symmetry_Int_Tables_number 148
_symmetry_space_group_name_Hall '-R 3'
_cell_length_a 22.2542
_cell_length_b 22.2542
_cell_length_c 11.2130
_cell_angle_alpha 90.00
_cell_angle_beta 90.00
_cell_angle_gamma 120.00
loop_
_atom_site_label
_atom_site_type_symbol
_atom_site_fract_x
_atom_site_fract_y
_atom_site_fract_z
K1 K 0.0000 0.0000 0.0000
K2 K 0.0574 0.1141 0.3624
Rb1 Rb 0.0005 0.3964 0.0009
Rb2 Rb 0.0941 0.5471 0.6135
O1 O 0.0000 0.0000 0.5000
```

5.
# ZnW
Calculated powder diffractogram, Cu Kα (λ = 1.5418 Å). Input: a crystal structure in Alexandria, relaxed with PBE.

Top 8 peaks for 5° ≤ 2θ ≤ 70°, low angle first:
hkl 0 0 1, 2θ = 10.43°, I = 40; hkl 0 0 3, 2θ = 31.65°, I = 9; hkl 1 0 1, 2θ = 34.99°, I = 17; hkl 1 0 2, 2θ = 39.68°, I = 100; hkl 0 0 4, 2θ = 42.65°, I = 19; hkl 1 1 0, 2θ = 47.82°, I = 30; hkl 1 1 4, 2θ = 65.98°, I = 21; hkl 2 0 0, 2θ = 69.94°, I = 9

```
data_ZnW
_symmetry_space_group_name_H-M 'P 4/n m m'
_symmetry_Int_Tables_number 129
_cell_length_a 2.6900
_cell_length_b 2.6900
_cell_length_c 8.4800
_cell_angle_alpha 90.00
_cell_angle_beta 90.00
_cell_angle_gamma 90.00
loop_
_symmetry_equiv_pos_as_xyz
'x,y,z'
'-x,-y,-z'
'-y+1/2,x,z'
'y+1/2,-x,-z'
'-x+1/2,-y+1/2,z'
'x+1/2,y+1/2,-z'
'y,-x+1/2,z'
'-y,x+1/2,-z'
'x+1/2,-y,-z'
'-x+1/2,y,z'
'-y,-x,-z'
'y,x,z'
'-x,y+1/2,-z'
'x,-y+1/2,z'
'y+1/2,x+1/2,-z'
'-y+1/2,-x+1/2,z'
loop_
_atom_site_label
_atom_site_type_symbol
_atom_site_fract_x
_atom_site_fract_y
_atom_site_fract_z
Zn1 Zn 0.2500 0.2500 0.1181
W1 W 0.2500 0.2500 0.6361
```

6.
# Cs2PdOF6
Calculated powder diffractogram, Cu Kα (λ = 1.5418 Å). Input: a crystal structure in Alexandria, relaxed with PBE.

Top 8 peaks for 5° ≤ 2θ ≤ 70°, low angle first:
hkl 1 0 1, 2θ = 16.57°, I = 37; hkl 1 1 2, 2θ = 26.91°, I = 100; hkl 2 0 0, 2θ = 27.83°, I = 45; hkl 2 0 2, 2θ = 33.49°, I = 25; hkl 0 0 4, 2θ = 37.03°, I = 19; hkl 2 2 0, 2θ = 39.76°, I = 32; hkl 3 1 2, 2θ = 48.66°, I = 36; hkl 2 2 4, 2θ = 55.46°, I = 21

```
data_Cs2PdOF6
_symmetry_space_group_name_H-M 'I 4/m m m'
_symmetry_Int_Tables_number 139
_symmetry_space_group_name_Hall '-I 4 2'
_cell_length_a 6.4123
_cell_length_b 6.4123
_cell_length_c 9.7099
_cell_angle_alpha 90.00
_cell_angle_beta 90.00
_cell_angle_gamma 90.00
loop_
_atom_site_label
_atom_site_type_symbol
_atom_site_fract_x
_atom_site_fract_y
_atom_site_fract_z
Cs1 Cs 0.0000 0.5000 0.2500
Pd1 Pd 0.0000 0.0000 0.0000
O1 O 0.0000 0.0000 0.5000
F1 F 0.0000 0.0000 0.2016
F2 F 0.2158 0.2158 0.0000
```

7.
# Be5Si2Tc
Calculated powder diffractogram, Cu Kα (λ = 1.5418 Å). Input: a crystal structure in Alexandria, relaxed with PBE.

Top 8 peaks for 5° ≤ 2θ ≤ 70°, low angle first:
hkl 0 0 1, 2θ = 18.68°, I = 100; hkl 0 1 0, 2θ = 22.59°, I = 54; hkl 1 0 0, 2θ = 23.71°, I = 47; hkl 0 1 1, 2θ = 24.74°, I = 41; hkl 1 0 -1, 2θ = 28.25°, I = 62; hkl 1 0 1, 2θ = 32.33°, I = 39; hkl 0 2 0, 2θ = 46.13°, I = 30; hkl 1 1 -2, 2θ = 48.43°, I = 65

```
data_Be5Si2Tc
_symmetry_space_group_name_H-M 'P 1'
_symmetry_Int_Tables_number 1
_cell_length_a 4.2435
_cell_length_b 4.6172
_cell_length_c 4.9723
_cell_angle_alpha 74.54
_cell_angle_beta 89.73
_cell_angle_gamma 63.18
loop_
_symmetry_equiv_pos_as_xyz
'x,y,z'
loop_
_atom_site_label
_atom_site_type_symbol
_atom_site_fract_x
_atom_site_fract_y
_atom_site_fract_z
Be1 Be 0.0000 0.0000 0.0000
Be2 Be 0.0039 0.0051 0.4831
Be3 Be 0.4258 0.5339 0.3571
Be4 Be 0.5121 0.0173 0.2411
Be5 Be 0.9045 0.5495 0.5801
Si1 Si 0.4876 0.0362 0.7113
Si2 Si 0.9373 0.4811 0.1256
Tc1 Tc 0.4209 0.5160 0.8607
```

8.
# La4GaOs
Calculated powder diffractogram, Cu Kα (λ = 1.5418 Å). Input: a crystal structure in Alexandria, relaxed with PBE.

Top 8 peaks for 5° ≤ 2θ ≤ 70°, low angle first:
hkl 0 2 0, 2θ = 12.64°, I = 100; hkl 0 4 1, 2θ = 29.98°, I = 45; hkl 3 1 -1, 2θ = 30.32°, I = 43; hkl 2 4 -1, 2θ = 32.83°, I = 36; hkl 1 5 0, 2θ = 33.82°, I = 42; hkl 0 2 2, 2θ = 34.26°, I = 30; hkl 1 3 -2, 2θ = 34.38°, I = 36; hkl 2 2 1, 2θ = 35.08°, I = 43

```
data_La4GaOs
_symmetry_space_group_name_H-M 'C 1 2/c 1'
_symmetry_Int_Tables_number 15
_cell_length_a 9.0496
_cell_length_b 14.0334
_cell_length_c 6.3266
_cell_angle_alpha 90.00
_cell_angle_beta 116.89
_cell_angle_gamma 90.00
loop_
_symmetry_equiv_pos_as_xyz
'x,y,z'
'-x,-y,-z'
'-x,y,-z+1/2'
'x,-y,z+1/2'
'x+1/2,y+1/2,z'
'-x+1/2,-y+1/2,-z'
'-x+1/2,y+1/2,-z+1/2'
'x+1/2,-y+1/2,z+1/2'
loop_
_atom_site_label
_atom_site_type_symbol
_atom_site_fract_x
_atom_site_fract_y
_atom_site_fract_z
La1 La 0.1178 0.1789 0.0750
La2 La 0.2169 0.4315 0.3260
Ga1 Ga 0.0000 0.3757 0.7500
Os1 Os 0.0000 0.0009 0.2500
```

9.
# I3Br2
Calculated powder diffractogram, Cu Kα (λ = 1.5418 Å). Input: a crystal structure in Alexandria, relaxed with PBE.

Top 8 peaks for 5° ≤ 2θ ≤ 70°, low angle first:
hkl 1 0 -1, 2θ = 16.09°, I = 79; hkl -1 1 1, 2θ = 17.07°, I = 67; hkl 0 1 -1, 2θ = 19.10°, I = 38; hkl 0 1 2, 2θ = 20.50°, I = 91; hkl 1 -1 1, 2θ = 22.00°, I = 90; hkl 0 2 0, 2θ = 22.65°, I = 100; hkl 0 2 2, 2θ = 24.21°, I = 81; hkl 3 0 -1, 2θ = 35.43°, I = 52

```
data_I3Br2
_symmetry_space_group_name_H-M 'P 1'
_symmetry_Int_Tables_number 1
_cell_length_a 8.2393
_cell_length_b 8.7206
_cell_length_c 8.7402
_cell_angle_alpha 64.30
_cell_angle_beta 84.69
_cell_angle_gamma 84.70
loop_
_symmetry_equiv_pos_as_xyz
'x,y,z'
loop_
_atom_site_label
_atom_site_type_symbol
_atom_site_fract_x
_atom_site_fract_y
_atom_site_fract_z
I1 I 0.0000 0.0000 0.0000
I2 I 0.1524 0.4932 0.8597
I3 I 0.3123 0.0429 0.3767
I4 I 0.4721 0.5611 0.9248
I5 I 0.6246 0.4198 0.4195
I6 I 0.8124 0.6118 0.8068
Br1 Br 0.2820 0.8623 0.1936
Br2 Br 0.3426 0.2256 0.5574
Br3 Br 0.7398 0.1058 0.8291
Br4 Br 0.8852 0.5907 0.3139
```

10.
# ScTlCr2Pb
Calculated powder diffractogram, Cu Kα (λ = 1.5418 Å). Input: a crystal structure in Alexandria, relaxed with PBE.

Top 8 peaks for 5° ≤ 2θ ≤ 70°, low angle first:
hkl 1 0 0, 2θ = 17.16°, I = 100; hkl 1 1 0, 2θ = 24.36°, I = 40; hkl 0 0 2, 2θ = 31.12°, I = 30; hkl 2 0 0, 2θ = 34.72°, I = 45; hkl 1 0 2, 2θ = 35.75°, I = 34; hkl 2 1 0, 2θ = 38.98°, I = 27; hkl 2 0 2, 2θ = 47.31°, I = 37; hkl 2 1 2, 2θ = 50.69°, I = 26

```
data_ScTlCr2Pb
_symmetry_space_group_name_H-M 'P 4/m m m'
_symmetry_Int_Tables_number 123
_symmetry_space_group_name_Hall '-P 4 2'
_cell_length_a 5.1671
_cell_length_b 5.1671
_cell_length_c 5.7484
_cell_angle_alpha 90.00
_cell_angle_beta 90.00
_cell_angle_gamma 90.00
loop_
_atom_site_label
_atom_site_type_symbol
_atom_site_fract_x
_atom_site_fract_y
_atom_site_fract_z
Sc1 Sc 0.0000 0.0000 0.0000
Tl1 Tl 0.5000 0.5000 0.0000
Cr1 Cr 0.0000 0.5000 0.5000
Pb1 Pb 0.5000 0.5000 0.5000
```

11.
# NdScS3
Calculated powder diffractogram, Cu Kα (λ = 1.5418 Å). Input: a crystal structure in Alexandria, relaxed with PBE.

Top 8 peaks for 5° ≤ 2θ ≤ 70°, low angle first:
hkl 0 0 2, 2θ = 12.61°, I = 32; hkl 1 0 3, 2θ = 21.97°, I = 29; hkl 2 0 1, 2θ = 23.01°, I = 60; hkl 0 1 1, 2θ = 24.10°, I = 38; hkl 2 1 0, 2θ = 32.23°, I = 58; hkl 1 0 5, 2θ = 33.82°, I = 36; hkl 2 1 2, 2θ = 34.79°, I = 100; hkl 1 1 5, 2θ = 41.43°, I = 33

```
data_NdScS3
_symmetry_space_group_name_H-M 'P n m a'
_symmetry_Int_Tables_number 62
_cell_length_a 8.0412
_cell_length_b 3.8271
_cell_length_c 14.0419
_cell_angle_alpha 90.00
_cell_angle_beta 90.00
_cell_angle_gamma 90.00
loop_
_symmetry_equiv_pos_as_xyz
'x,y,z'
'-x,-y,-z'
'-x+1/2,-y,z+1/2'
'x+1/2,y,-z+1/2'
'x+1/2,-y+1/2,-z+1/2'
'-x+1/2,y+1/2,z+1/2'
'-x,y+1/2,-z'
'x,-y+1/2,z'
loop_
_atom_site_label
_atom_site_type_symbol
_atom_site_fract_x
_atom_site_fract_y
_atom_site_fract_z
Nd1 Nd 0.1338 0.2500 0.1954
Sc1 Sc 0.1829 0.7500 0.4573
S1 S 0.0021 0.2500 0.3894
S2 S 0.1573 0.2500 0.7968
S3 S 0.1626 0.7500 0.0441
```